Starting from a structure optimized by DFT (GGA+U), the X-ray diffraction stick pattern of Rb2NbMoO6 was computed for CuKα.

Top 10 peaks for 10 to 90 degrees two-theta, by intensity:
two_theta, intensity, (hkl)
30.92, 100, 1 1 1
31.14, 98, 3 1 -1
44.46, 68, 4 0 0
55.03, 32, 4 2 0
55.16, 26, 3 3 -1
64.43, 21, 2 2 2
55.55, 19, 6 0 -2
89.71, 14, 5 3 1
64.90, 13, 6 2 -2
73.27, 11, 5 1 1

Crystal structure
```
data_Rb2NbMoO6
_chemical_formula_sum 'Rb4 Nb2 Mo2 O12'
_cell_length_a 9.9337
_cell_length_b 5.7845
_cell_length_c 5.7373
_cell_angle_alpha 90.00
_cell_angle_beta 124.76
_cell_angle_gamma 90.00
_space_group_name_H-M_alt 'C 1 2/m 1'
_space_group_IT_number 12
_space_group_name_Hall '-C 2y'
loop_
_atom_site_label
_atom_site_type_symbol
_atom_site_fract_x
_atom_site_fract_y
_atom_site_fract_z
Rb1 Rb 0.2490 0.0000 0.2506
Nb1 Nb 0.0000 0.5000 0.0000
Mo1 Mo 0.0000 0.0000 0.5000
O1 O 0.0009 0.2493 0.7479
O2 O 0.2503 0.0000 0.7516
```